This entry pairs a crystal structure of RbMnH4Cl3O2 with its theoretical X-ray diffraction stick pattern. Radiation: a wavelength of 1.5418 Å. Structure: DFT lattice parameters and positions (GGA+U).
No peak broadening, texture or thermal motion is included.

Principal peaks in the range 2θ = 10–80°, sorted by position:
| two_theta | I_rel | h k l |
| --- | --- | --- |
| 14.72 | 69 | 1 0 0 |
| 14.87 | 55 | 0 1 -1 |
| 27.15 | 100 | 0 2 1 |
| 29.70 | 51 | 2 0 0 |
| 29.99 | 49 | 0 2 -2 |
| 32.27 | 53 | 1 0 -3 |
| 38.86 | 52 | 2 0 -3 |
| 42.00 | 52 | 2 -2 2 |

Cell and atoms:
```
data_RbMnH4Cl3O2
_chemical_formula_sum 'Rb2 Mn2 H8 Cl6 O4'
_cell_length_a 6.3327
_cell_length_b 7.7762
_cell_length_c 8.5805
_cell_angle_alpha 94.07
_cell_angle_beta 101.69
_cell_angle_gamma 102.86
_space_group_name_H-M_alt 'P 1'
_space_group_IT_number 1
loop_
_space_group_symop_operation_xyz
'x,y,z'
loop_
_atom_site_label
_atom_site_fract_x
_atom_site_fract_y
_atom_site_fract_z
Rb1 0.2356 0.4049 0.1561
Rb2 0.7644 0.5951 0.8439
Mn1 0.0023 0.1777 0.6724
Mn2 0.9977 0.8223 0.3276
H1 0.2296 0.0091 0.9248
H2 0.2349 0.6426 0.5578
H3 0.4146 0.1197 0.8477
H4 0.4158 0.7728 0.4904
H5 0.5842 0.2272 0.5096
H6 0.5854 0.8803 0.1523
H7 0.7651 0.3574 0.4422
H8 0.7704 0.9909 0.0752
Cl1 0.2135 0.1445 0.4480
Cl2 0.2210 0.4983 0.7607
Cl3 0.2240 0.8364 0.1099
Cl4 0.7760 0.1636 0.8901
Cl5 0.7790 0.5017 0.2393
Cl6 0.7865 0.8555 0.5520
O1 0.2577 0.1041 0.8552
O2 0.2584 0.7064 0.4640
O3 0.7416 0.2936 0.5360
O4 0.7423 0.8959 0.1448
```